The following is a calculated powder diffraction line list of Na2V6O13. It was derived from a cell relaxed with PBE+U, using a wavelength of 1.5418 Å.

Principal peaks in the range 5° ≤ 2θ ≤ 70°, most intense first:
2θ = 24.69°, intensity 100, hkl 1 1 0
2θ = 26.70°, intensity 55, hkl 2 0 -3
2θ = 48.08°, intensity 49, hkl 0 2 0
2θ = 44.89°, intensity 42, hkl 6 0 -1
2θ = 30.48°, intensity 39, hkl 1 1 2
2θ = 41.82°, intensity 37, hkl 0 0 5
2θ = 16.41°, intensity 36, hkl 0 0 2
2θ = 32.74°, intensity 33, hkl 3 1 -1
2θ = 32.64°, intensity 30, hkl 3 1 0
2θ = 8.19°, intensity 23, hkl 0 0 1

Structure:
Lattice parameters (Å, degrees): 12.1183 3.7851 10.9535 90.00 99.56 90.00
Space group C2/m (No. 12)
Symmetry-distinct sites (fractional):
Na 0.0526 0.0000 0.1625
V 0.0913 0.5000 0.6066
V 0.1491 0.5000 0.9572
V 0.2132 0.5000 0.3675
O 0.0000 0.5000 0.0000
O 0.0687 0.5000 0.4257
O 0.1076 0.5000 0.7999
O 0.1172 0.0000 0.6205
O 0.1668 0.5000 0.2153
O 0.1818 0.0000 0.0003
O 0.2439 0.0000 0.4080

=====

The following is a calculated powder diffraction line list of Ca3As4W3O16. It was derived from a cell relaxed with PBE+U, using a wavelength of 1.5418 Å.

Principal peaks in the range 5° ≤ 2θ ≤ 70°, most intense first:
2θ = 10.75°, intensity 100, hkl 1 0 -2
2θ = 24.42°, intensity 93, hkl 2 1 -1
2θ = 29.75°, intensity 55, hkl 1 1 3
2θ = 30.87°, intensity 51, hkl 3 1 -3
2θ = 30.51°, intensity 35, hkl 2 0 -6
2θ = 34.27°, intensity 29, hkl 0 1 5
2θ = 34.40°, intensity 19, hkl 0 2 0
2θ = 37.40°, intensity 19, hkl 3 0 2
2θ = 20.30°, intensity 18, hkl 1 0 -4
2θ = 21.94°, intensity 18, hkl 1 1 1

Structure:
Lattice parameters (Å, degrees): 10.5054 5.2145 17.6043 90.00 120.78 90.00
Space group P2_1/c (No. 14)
Symmetry-distinct sites (fractional):
Ca 0.0000 0.0000 0.0000
Ca 0.2708 0.0279 0.2679
As 0.0459 0.5107 0.1646
As 0.4016 0.6129 0.6169
W 0.2122 0.5432 0.3972
W 0.5000 0.0000 0.5000
O 0.0021 0.6696 0.6342
O 0.0967 0.1735 0.6060
O 0.1007 0.6196 0.8285
O 0.2003 0.0125 0.7730
O 0.2211 0.6474 0.5091
O 0.3225 0.2283 0.4433
O 0.3327 0.6783 0.6850
O 0.4844 0.5750 0.1108